# AgPdRhF6
Computed XRD peak list, copper Kα. Input: a crystal structure in Alexandria, relaxed with GGA-PBE.

Atomic structure:
Lattice parameters (Å, degrees): 5.0684 5.0684 10.3814 90.00 90.00 90.00
Sites, in units of the cell vectors:
Ag  0.0000  0.0000  0.0000
Ag  0.5000  0.5000  0.5000
Pd  0.0000  0.0000  0.3287
Pd  0.5000  0.5000  0.8287
Rh  0.0000  0.0000  0.6657
Rh  0.5000  0.5000  0.1657
F  0.1768  0.1768  0.5134
F  0.1890  0.1890  0.8115
F  0.2180  0.2180  0.1696
F  0.2820  0.7180  0.6696
F  0.3110  0.6890  0.3115
F  0.3232  0.6768  0.0134
F  0.6768  0.3232  0.0134
F  0.6890  0.3110  0.3115
F  0.7180  0.2820  0.6696
F  0.7820  0.7820  0.1696
F  0.8110  0.8110  0.8115
F  0.8232  0.8232  0.5134

Top 10 peaks for 10 to 80 degrees two-theta, low angle first:
d [Å]	I (rel.)
3.584	100
2.858	77
2.534	19
1.896	69
1.792	17
1.603	14
1.558	16
1.518	22
1.302	12
1.245	9

# Tb6DyTl6
Computed XRD peak list, copper Kα. Input: a crystal structure in Alexandria, relaxed with GGA-PBE.

Atomic structure:
Lattice parameters (Å, degrees): 6.4492 6.4492 10.5927 90.00 90.00 120.00
Sites, in units of the cell vectors:
Tb  0.0000  0.0000  0.1654
Tb  0.0000  0.0000  0.8346
Tb  0.3333  0.6667  0.0000
Tb  0.3333  0.6667  0.5000
Tb  0.6667  0.3333  0.0000
Tb  0.6667  0.3333  0.5000
Dy  0.0000  0.0000  0.5000
Tl  0.0000  0.5000  0.2535
Tl  0.0000  0.5000  0.7465
Tl  0.5000  0.0000  0.2535
Tl  0.5000  0.0000  0.7465
Tl  0.5000  0.5000  0.2535
Tl  0.5000  0.5000  0.7465

Top 10 peaks for 10 to 80 degrees two-theta, low angle first:
d [Å]	I (rel.)
3.225	23
2.985	19
2.793	57
2.754	64
2.648	29
2.470	100
2.393	21
1.612	32
1.549	24
1.377	24

# NbCuTe3
Computed XRD peak list, copper Kα. Input: a crystal structure in Alexandria, relaxed with GGA-PBE.

Atomic structure:
Lattice parameters (Å, degrees): 6.9345 3.7955 9.7763 90.00 90.79 90.00
Sites, in units of the cell vectors:
Nb  0.0063  0.2500  0.3626
Nb  0.9937  0.7500  0.6374
Cu  0.4523  0.2500  0.9199
Cu  0.5477  0.7500  0.0801
Te  0.2059  0.7500  0.9076
Te  0.2413  0.7500  0.2380
Te  0.2778  0.2500  0.5749
Te  0.7222  0.7500  0.4251
Te  0.7587  0.2500  0.7620
Te  0.7941  0.2500  0.0924

Top 10 peaks for 10 to 80 degrees two-theta, low angle first:
d [Å]	I (rel.)
3.467	22
3.158	100
2.965	36
2.934	77
2.760	21
2.482	23
2.277	24
2.258	65
1.898	43
1.593	27

# MgCd3In2
Computed XRD peak list, copper Kα. Input: a crystal structure in Alexandria, relaxed with GGA-PBE.

Atomic structure:
Lattice parameters (Å, degrees): 7.1670 7.1670 6.0231 95.20 95.20 103.09
Sites, in units of the cell vectors:
Mg  0.0554  0.9446  0.7500
Mg  0.9446  0.0554  0.2500
Cd  0.2860  0.3260  0.0265
Cd  0.3215  0.6785  0.7500
Cd  0.3260  0.2860  0.5265
Cd  0.6740  0.7140  0.4735
Cd  0.6785  0.3215  0.2500
Cd  0.7140  0.6740  0.9735
In  0.0719  0.5992  0.2783
In  0.4008  0.9281  0.2217
In  0.5992  0.0719  0.7783
In  0.9281  0.4008  0.7217

Top 10 peaks for 10 to 80 degrees two-theta, low angle first:
d [Å]	I (rel.)
6.935	36
2.911	26
2.806	39
2.720	58
2.631	100
2.539	20
2.436	35
2.400	34
2.367	23
2.312	38

# Cs3Cu2Br7
Computed XRD peak list, copper Kα. Input: a crystal structure in Alexandria, relaxed with GGA-PBE.

Atomic structure:
Lattice parameters (Å, degrees): 13.9922 13.9922 5.2530 90.00 90.00 157.64
Sites, in units of the cell vectors:
Cs  0.0000  0.0000  0.0000
Cs  0.1829  0.8171  0.0000
Cs  0.8171  0.1829  0.0000
Cu  0.4047  0.5953  0.5000
Cu  0.5953  0.4047  0.5000
Br  0.0927  0.9073  0.5000
Br  0.3124  0.6876  0.5000
Br  0.4072  0.5928  0.0000
Br  0.5000  0.5000  0.5000
Br  0.5928  0.4072  0.0000
Br  0.6876  0.3124  0.5000
Br  0.9073  0.0927  0.5000

Top 10 peaks for 10 to 80 degrees two-theta, low angle first:
d [Å]	I (rel.)
3.110	100
2.745	23
2.713	41
2.626	32
1.930	16
1.898	15
1.887	24
1.632	15
1.595	13
1.555	16